Structure and computed powder XRD pattern of Th3Mg4 (a crystal structure in OQMD, relaxed with GGA-PBE; Cu Kα X-rays).
Intensities are scaled so that the largest is 100.

Cell and atoms:
a = 9.1057 Å, b = 9.1057 Å, c = 5.4215 Å
α = 90.00°, β = 90.00°, γ = 120.00°
Fractional coordinates of all 14 atoms:
Th (0.0991, 0.4710, 0.2500)
Th (0.3718, 0.9009, 0.2500)
Th (0.4710, 0.3718, 0.7500)
Th (0.5290, 0.6282, 0.2500)
Th (0.6282, 0.0991, 0.7500)
Th (0.9009, 0.5290, 0.7500)
Mg (0.0481, 0.2254, 0.7500)
Mg (0.1774, 0.9519, 0.7500)
Mg (0.2254, 0.1774, 0.2500)
Mg (0.3333, 0.6667, 0.7500)
Mg (0.6667, 0.3333, 0.2500)
Mg (0.7746, 0.8226, 0.7500)
Mg (0.8226, 0.0481, 0.2500)
Mg (0.9519, 0.7746, 0.2500)

Most intense lines, 2θ = 15–90°, low angle first:
(1 0 1), d 4.468, 2θ 19.9, intensity 42
(2 0 0), d 3.943, 2θ 22.6, intensity 18
(1 1 1), d 3.487, 2θ 25.5, intensity 38
(2 1 0), d 2.981, 2θ 30.0, intensity 41
(0 0 2), d 2.711, 2θ 33.0, intensity 25
(2 1 1), d 2.612, 2θ 34.3, intensity 100
(2 1 2), d 2.005, 2θ 45.2, intensity 27
(1 4 0), d 1.721, 2θ 53.2, intensity 19
(2 1 3), d 1.545, 2θ 59.9, intensity 21
(1 4 2), d 1.453, 2θ 64.1, intensity 22
(4 2 1), d 1.437, 2θ 64.9, intensity 17
(7 0 1), d 1.103, 2θ 88.7, intensity 14